InS: computed X-ray diffraction stick pattern (λ = 1.5418 Å (Cu Kα)), based on a cell relaxed with PBE.
No peak broadening, texture or thermal motion is included.

The 6 most intense peaks (10 to 90 degrees two-theta), in order of rising 2θ:
d (Å), 2θ/deg, I_rel, (hkl)
3.744, 23.76, 53, 0 1 1
3.557, 25.04, 88, 1 2 0
3.059, 29.19, 100, 1 0 1
2.679, 33.44, 51, 0 4 0
2.016, 44.97, 50, 1 4 1
1.909, 47.63, 64, 2 2 1

Atomic structure:
```
data_InS
_chemical_formula_sum 'In4 S4'
_space_group_name_H-M_alt 'P n n m'
_space_group_IT_number 58
_cell_length_a 4.7556
_cell_length_b 10.7172
_cell_length_c 3.9963
_cell_angle_alpha 90.00
_cell_angle_beta 90.00
_cell_angle_gamma 90.00
loop_
_space_group_symop_operation_xyz
'x,y,z'
'-x,-y,-z'
'-x,-y,z'
'x,y,-z'
'x+1/2,-y+1/2,-z+1/2'
'-x+1/2,y+1/2,z+1/2'
'-x+1/2,y+1/2,-z+1/2'
'x+1/2,-y+1/2,z+1/2'
loop_
_atom_site_label
_atom_site_fract_x
_atom_site_fract_y
_atom_site_fract_z
In1 0.1229 0.1202 0.0000
S1 0.0424 0.6541 0.0000
```



Sm5Te5P: computed X-ray diffraction stick pattern (λ = 1.5418 Å (Cu Kα)), based on a cell relaxed with PBE.
No peak broadening, texture or thermal motion is included.

The 6 most intense peaks (10 to 90 degrees two-theta), in order of rising 2θ:
d (Å), 2θ/deg, I_rel, (hkl)
3.100, 28.80, 100, 0 2 0
3.069, 29.09, 47, 2 0 2
2.192, 41.19, 37, 4 2 -2
2.181, 41.40, 71, 2 2 2
1.784, 51.21, 38, 2 2 -4
1.385, 67.64, 16, 2 4 2

Atomic structure:
```
data_Sm5Te5P
_chemical_formula_sum 'Sm10 Te10 P2'
_space_group_name_H-M_alt 'C 1 2/m 1'
_space_group_IT_number 12
_cell_length_a 13.8277
_cell_length_b 6.2075
_cell_length_c 8.7132
_cell_angle_alpha 90.00
_cell_angle_beta 108.85
_cell_angle_gamma 90.00
loop_
_space_group_symop_operation_xyz
'x,y,z'
'-x,-y,-z'
'-x,y,-z'
'x,-y,z'
'x+1/2,y+1/2,z'
'-x+1/2,-y+1/2,-z'
'-x+1/2,y+1/2,-z'
'x+1/2,-y+1/2,z'
loop_
_atom_site_label
_atom_site_fract_x
_atom_site_fract_y
_atom_site_fract_z
Sm1 0.0000 0.0000 0.0000
Sm2 0.1542 0.5000 0.3134
Sm3 0.1557 0.5000 0.8440
Te1 0.0000 0.5000 0.5000
Te2 0.1624 0.0000 0.8216
Te3 0.1711 0.0000 0.3369
P1 0.0000 0.5000 0.0000
```



Pm2Pr2ThMg5: computed X-ray diffraction stick pattern (λ = 1.5418 Å (Cu Kα)), based on a cell relaxed with PBE.
No peak broadening, texture or thermal motion is included.

The 6 most intense peaks (10 to 90 degrees two-theta), in order of rising 2θ:
d (Å), 2θ/deg, I_rel, (hkl)
5.233, 16.94, 80, 0 0 1
3.381, 26.36, 47, 3 1 0
3.064, 29.14, 23, 2 2 1
2.840, 31.50, 100, 3 1 1
2.616, 34.27, 28, 0 0 2
2.069, 43.75, 25, 3 1 2

Atomic structure:
```
data_Pm2Pr2ThMg5
_chemical_formula_sum 'Pm4 Pr4 Th2 Mg10'
_space_group_name_H-M_alt 'P 4/m b m'
_space_group_IT_number 127
_space_group_name_Hall '-P 4 2ab'
_cell_length_a 10.6914
_cell_length_b 10.6914
_cell_length_c 5.2327
_cell_angle_alpha 90.00
_cell_angle_beta 90.00
_cell_angle_gamma 90.00
loop_
_atom_site_label
_atom_site_fract_x
_atom_site_fract_y
_atom_site_fract_z
Pm1 0.1239 0.3761 0.0000
Pr1 0.1755 0.6755 0.0000
Th1 0.0000 0.0000 0.0000
Mg1 0.0000 0.5000 0.5000
Mg2 0.0761 0.1944 0.5000
```



PuTh2Te6: computed X-ray diffraction stick pattern (λ = 1.5418 Å (Cu Kα)), based on a cell relaxed with PBE.
No peak broadening, texture or thermal motion is included.

The 6 most intense peaks (10 to 90 degrees two-theta), in order of rising 2θ:
d (Å), 2θ/deg, I_rel, (hkl)
5.186, 17.10, 96, 1 1 0
3.456, 25.78, 59, 1 1 3
2.677, 33.47, 100, 2 1 3
2.593, 34.59, 41, 2 2 0
2.162, 41.77, 60, 3 0 3
1.728, 52.99, 37, 3 3 0

Atomic structure:
```
data_PuTh2Te6
_chemical_formula_sum 'Pu2 Th4 Te12'
_space_group_name_H-M_alt 'P 42/m n m'
_space_group_IT_number 136
_space_group_name_Hall '-P 4n 2n'
_cell_length_a 7.3337
_cell_length_b 7.3337
_cell_length_c 13.9062
_cell_angle_alpha 90.00
_cell_angle_beta 90.00
_cell_angle_gamma 90.00
loop_
_atom_site_label
_atom_site_fract_x
_atom_site_fract_y
_atom_site_fract_z
Pu1 0.0000 0.0000 0.0000
Th1 0.0000 0.0000 0.3336
Te1 0.1981 0.1981 0.1648
Te2 0.2016 0.2016 0.5000
```